# 1
For Ba2NdMgCu3O7, a DFT-relaxed cell (PBE, the Materials Project) gives the simulated XRD peak list in this record (Cu Kα (λ = 1.5418 Å)).
Peak positions follow from Bragg's law for the DFT cell and can differ from measured ones.

Crystal structure
```
Ba2NdMgCu3O7
1.0
3.760 0.000 0.000
0.000 4.019 0.000
0.000 0.000 14.580
Ba Nd Mg Cu O
2 1 1 3 7
direct
0.000 0.000 0.000 Ba
0.000 0.000 0.311 Ba
0.000 0.000 0.569 Nd
0.000 0.500 0.814 Mg
0.500 0.500 0.149 Cu
0.500 0.500 0.447 Cu
0.500 0.500 0.675 Cu
0.000 0.500 0.103 O
0.000 0.500 0.474 O
0.000 0.500 0.681 O
0.500 0.000 0.456 O
0.500 0.000 0.671 O
0.500 0.500 0.282 O
0.500 0.500 0.881 O
```

Largest 8 diffraction maxima, by angle, 2θ = 10–90°:
2θ = 28.83°, rel. 763
2θ = 30.05°, rel. 430
2θ = 32.61°, rel. 1000
2θ = 33.18°, rel. 762
2θ = 34.26°, rel. 771
2θ = 37.62°, rel. 335
2θ = 45.12°, rel. 385
2θ = 55.37°, rel. 420

# 2
For HoGa3Os, a DFT-relaxed cell (PBE, the Materials Project) gives the simulated XRD peak list in this record (Cu Kα (λ = 1.5418 Å)).
Peak positions follow from Bragg's law for the DFT cell and can differ from measured ones.

Crystal structure
```
HoGa3Os
1.0
6.427 0.000 0.000
0.000 6.427 0.000
0.000 0.000 6.427
Ho Ga Os
3 9 3
direct
0.000 0.000 0.500 Ho
0.000 0.500 0.000 Ho
0.500 0.000 0.000 Ho
0.000 0.000 0.000 Ga
0.288 0.288 0.288 Ga
0.288 0.288 0.712 Ga
0.288 0.712 0.288 Ga
0.288 0.712 0.712 Ga
0.712 0.288 0.288 Ga
0.712 0.288 0.712 Ga
0.712 0.712 0.288 Ga
0.712 0.712 0.712 Ga
0.000 0.500 0.500 Os
0.500 0.000 0.500 Os
0.500 0.500 0.000 Os
```

Largest 8 diffraction maxima, by angle, 2θ = 10–90°:
2θ = 19.53°, rel. 139
2θ = 27.76°, rel. 183
2θ = 34.17°, rel. 112
2θ = 39.66°, rel. 1000
2θ = 44.58°, rel. 78
2θ = 57.34°, rel. 144
2θ = 64.88°, rel. 132
2θ = 71.98°, rel. 264